# AlCu3Ni3
Computed X-ray powder pattern, CuKα. Input: DFT lattice parameters and positions (PBE).
Peak positions follow from Bragg's law for the DFT cell and can differ from measured ones.

Principal peaks in the range 10° ≤ 2θ ≤ 90°, most intense first:
- (0 3 2), 2θ = 44.19°, intensity 100
- (1 2 1), 2θ = 45.16°, intensity 94
- (0 0 5), 2θ = 47.10°, intensity 87
- (0 2 3), 2θ = 38.54°, intensity 61
- (1 3 1), 2θ = 54.83°, intensity 36
- (1 3 6), 2θ = 82.53°, intensity 33
- (1 1 2), 2θ = 41.93°, intensity 32
- (1 0 1), 2θ = 36.10°, intensity 24
- (0 1 5), 2θ = 49.03°, intensity 24
- (0 0 4), 2θ = 37.23°, intensity 22

Atomic structure:
```
data_AlCu3Ni3
_chemical_formula_sum 'Al2 Cu6 Ni6'
_cell_length_a 2.5749
_cell_length_b 6.7904
_cell_length_c 9.6592
_cell_angle_alpha 90.00
_cell_angle_beta 90.00
_cell_angle_gamma 90.00
_symmetry_space_group_name_H-M 'P m m n'
_symmetry_Int_Tables_number 59
loop_
_symmetry_equiv_pos_as_xyz
'x,y,z'
'-x,-y,-z'
'-x+1/2,-y+1/2,z'
'x+1/2,y+1/2,-z'
'x+1/2,-y,-z'
'-x+1/2,y,z'
'-x,y+1/2,-z'
'x,-y+1/2,z'
loop_
_atom_site_label
_atom_site_fract_x
_atom_site_fract_y
_atom_site_fract_z
_atom_site_occupancy
Al1 0.2500 0.2500 0.2306 1
Cu1 0.2500 0.0641 0.8406 1
Cu2 0.2500 0.7500 0.3603 1
Ni1 0.2500 0.5695 0.5945 1
Ni2 0.2500 0.7500 0.9815 1
```